For VFeSb, a DFT-relaxed cell (PBE, the Materials Project) gives the calculated PXRD pattern in this record (Cu Ka).
Lines closer than 0.1° are merged.

Atomic structure:
Cell: 6.076 6.076 6.076 Å, 90.00 90.00 90.00°
Space group F-43m (No. 216)
One atom of each set of equivalent atoms:
V: 0.000 0.000 0.000 (multiplicity 4)
Fe: 0.250 0.250 0.250 (multiplicity 4)
Sb: 0.250 0.250 0.750 (multiplicity 4)

Most intense lines, 2θ = 10–90°, by angle:
- (1 1 1), 2θ = 25.39°, I = 31
- (2 0 0), 2θ = 29.40°, I = 43
- (2 2 0), 2θ = 42.06°, I = 100
- (3 1 1), 2θ = 49.77°, I = 15
- (2 2 2), 2θ = 52.14°, I = 11
- (4 0 0), 2θ = 60.99°, I = 16
- (4 2 0), 2θ = 69.14°, I = 14
- (4 2 2), 2θ = 76.86°, I = 31